Theoretical PXRD pattern of Y for λ = 1.5418 Å (Cu Kα), from a crystal structure in the Materials Project, relaxed with GGA-PBE.
Lines closer than 0.1° are merged.

Structural model:
```
data_Y
_cell_length_a 5.0626
_cell_length_b 5.0626
_cell_length_c 5.0626
_cell_angle_alpha 90.00
_cell_angle_beta 90.00
_cell_angle_gamma 90.00
_space_group_name_H-M_alt 'F m -3 m'
_space_group_IT_number 225
_space_group_name_Hall '-F 4 2 3'
loop_
_atom_site_label
_atom_site_type_symbol
_atom_site_fract_x
_atom_site_fract_y
_atom_site_fract_z
Y1 Y 0.0000 0.0000 0.0000
```

The 6 most intense peaks (2θ = 10–90°), in order of rising 2θ:
- 30.59 deg, I = 1000, hkl 1 1 1
- 35.46 deg, I = 499, hkl 2 0 0
- 51.02 deg, I = 344, hkl 2 2 0
- 60.67 deg, I = 402, hkl 3 1 1
- 83.17 deg, I = 160, hkl 3 3 1
- 85.84 deg, I = 149, hkl 4 2 0

---

Theoretical PXRD pattern of Y for λ = 1.5418 Å (Cu Kα), from a crystal structure in the Materials Project, relaxed with GGA-PBE.
Lines closer than 0.1° are merged.

Structural model:
```
data_Y
_cell_length_a 3.5891
_cell_length_b 3.5891
_cell_length_c 11.5959
_cell_angle_alpha 90.00
_cell_angle_beta 90.00
_cell_angle_gamma 120.00
_space_group_name_H-M_alt 'P 63/m m c'
_space_group_IT_number 194
_space_group_name_Hall '-P 6c 2c'
loop_
_atom_site_label
_atom_site_type_symbol
_atom_site_fract_x
_atom_site_fract_y
_atom_site_fract_z
Y1 Y 0.0000 0.0000 0.0000
Y2 Y 0.3333 0.6667 0.2500
```

The 6 most intense peaks (2θ = 10–90°), in order of rising 2θ:
- 29.76 deg, I = 430, hkl 1 0 1
- 30.84 deg, I = 347, hkl 0 0 4
- 32.69 deg, I = 1000, hkl 1 0 2
- 37.12 deg, I = 234, hkl 1 0 3
- 50.88 deg, I = 246, hkl 1 1 0
- 60.69 deg, I = 285, hkl 1 1 4